Calculated X-ray powder pattern
Compound: CoAsS
Radiation: copper Kα
Structure: a GGA-PBE-relaxed structure
Lines closer than 0.1° are merged.

Top 12 peaks for 2θ = 15–90°, sorted by position:
2theta	I_rel	(hkl)
23.07	24	1 1 0
26.27	18	1 1 1
34.20	100	1 1 2
36.04	18	1 2 1
37.86	27	0 2 2
45.20	22	2 0 2
47.16	27	2 2 0
47.53	24	2 1 2
48.57	21	1 3 1
50.02	19	0 3 2
51.09	22	0 0 4
60.54	18	3 1 1

Cell and atoms:
```
CoAsS
1.0
4.8460 0.0000 0.0000
0.0000 6.3596 0.0000
0.0000 0.0000 7.1515
Co As S
4 4 4
direct
0.0149 0.0539 0.0000
0.4851 0.0539 0.5000
0.5149 0.9461 0.0000
0.9851 0.9461 0.5000
0.1849 0.2033 0.2814
0.3151 0.2033 0.7814
0.6849 0.7967 0.2814
0.8151 0.7967 0.7814
0.1753 0.7307 0.0043
0.3247 0.7307 0.5043
0.6753 0.2693 0.0043
0.8247 0.2693 0.5043
```